1.
# Nd2ThFe9
Computed powder diffractogram, Cu Kα. Input: the PBE geometry in Alexandria.
Intensities are scaled so that the largest is 100.

Crystal structure
```
12
Lattice="2.578 1.489 8.359 -2.578 1.489 8.359 0.000 -2.977 8.359" Properties=species:S:1:pos:R:3 pbc="T T T"
Nd 0.000 0.000 3.558
Nd 0.000 0.000 21.520
Th 0.000 0.000 0.000
Fe -1.274 -0.736 10.373
Fe 0.000 0.000 8.338
Fe 0.000 -1.472 14.704
Fe -1.274 0.736 14.704
Fe 0.000 0.000 12.539
Fe 1.274 -0.736 10.373
Fe 0.000 1.472 10.373
Fe 0.000 0.000 16.739
Fe 1.274 0.736 14.704
```

Peak list (10 most intense, 10 to 80 degrees two-theta, low angle first)
2θ = 20.20°, I 17
2θ = 32.03°, I 50
2θ = 34.79°, I 49
2θ = 34.97°, I 34
2θ = 40.56°, I 35
2θ = 41.13°, I 100
2θ = 60.65°, I 15
2θ = 62.49°, I 13
2θ = 66.69°, I 29
2θ = 73.45°, I 17

---

2.
# UI5Cl
Computed powder diffractogram, Cu Kα. Input: the PBE geometry in Alexandria.
Intensities are scaled so that the largest is 100.

Crystal structure
```
14
Lattice="8.661 0.000 0.000 4.034 7.756 0.000 0.383 4.252 10.651" Properties=species:S:1:pos:R:3 pbc="T T T"
U 0.000 0.000 0.000
U 2.208 6.004 5.326
I 1.851 4.163 7.927
I 4.576 8.931 10.461
I 6.636 7.946 1.288
I 4.647 4.396 2.744
I 4.895 4.356 5.627
I 8.183 7.652 5.025
I 8.431 7.612 7.907
I 6.442 4.061 9.363
I 8.502 3.076 0.191
I 11.227 7.845 2.725
Cl 3.450 7.825 6.523
Cl 9.628 4.183 4.129
```

Peak list (10 most intense, 10 to 80 degrees two-theta, low angle first)
2θ = 11.65°, I 22
2θ = 12.01°, I 61
2θ = 13.12°, I 100
2θ = 16.64°, I 19
2θ = 22.95°, I 46
2θ = 23.66°, I 44
2θ = 30.47°, I 65
2θ = 31.77°, I 20
2θ = 32.26°, I 21
2θ = 33.68°, I 29

---

3.
# CrCu2Br2
Computed powder diffractogram, Cu Kα. Input: the PBE geometry in Alexandria.
Intensities are scaled so that the largest is 100.

Crystal structure
```
5
Lattice="-2.527 2.527 3.961 2.527 -2.527 3.961 2.527 2.527 -3.961" Properties=species:S:1:pos:R:3 pbc="T T T"
Cr 0.000 0.000 0.000
Cu 0.000 0.000 2.759
Cu 0.000 0.000 5.164
Br 2.527 0.000 1.981
Br 0.000 2.527 1.981
```

Peak list (10 most intense, 10 to 80 degrees two-theta, low angle first)
2θ = 22.44°, I 31
2θ = 33.78°, I 54
2θ = 35.53°, I 100
2θ = 38.46°, I 44
2θ = 42.43°, I 23
2θ = 51.12°, I 34
2θ = 52.85°, I 23
2θ = 53.35°, I 32
2θ = 62.69°, I 17
2θ = 77.00°, I 26

---

4.
# SrU4Pd3S12
Computed powder diffractogram, Cu Kα. Input: the PBE geometry in Alexandria.
Intensities are scaled so that the largest is 100.

Crystal structure
```
20
Lattice="-4.869 4.869 4.869 4.869 -4.869 4.869 4.869 4.869 -4.869" Properties=species:S:1:pos:R:3 pbc="T T T"
Sr 0.000 0.000 0.000
U 2.434 2.434 -2.434
U 2.434 -2.434 2.434
U -2.434 2.434 2.434
U 2.434 2.434 2.434
Pd 4.869 0.000 0.000
Pd 0.000 4.869 0.000
Pd 0.000 0.000 4.869
S 4.869 -1.864 3.316
S 3.005 1.552 0.000
S 6.733 1.552 0.000
S 3.316 4.869 -1.864
S 1.552 0.000 3.005
S 0.000 3.005 1.552
S 4.869 1.864 3.316
S 3.316 4.869 1.864
S 1.552 0.000 6.733
S -1.864 3.316 4.869
S 1.864 3.316 4.869
S 0.000 6.733 1.552
```

Peak list (10 most intense, 10 to 80 degrees two-theta, low angle first)
2θ = 18.22°, I 20
2θ = 25.88°, I 100
2θ = 36.92°, I 26
2θ = 41.47°, I 14
2θ = 45.64°, I 61
2θ = 53.21°, I 15
2θ = 60.09°, I 23
2θ = 63.36°, I 4
2θ = 66.53°, I 6
2θ = 72.66°, I 26